Calculated powder diffractogram
Compound: MgPd5
Radiation: Cu Kα
Structure: a crystal structure in the Materials Project, relaxed with PBE

Largest 10 diffraction maxima, by angle, 2θ = 10–90°:
| d (Å) | Position (°2θ) | Rel. int. | (hkl) |
| --- | --- | --- | --- |
| 4.214 | 21.1 | 9 | 1 0 0 |
| 3.102 | 28.8 | 7 | 1 0 1 |
| 2.433 | 36.9 | 25 | 1 1 0 |
| 2.291 | 39.3 | 27 | 0 0 2 |
| 2.149 | 42.0 | 100 | 1 1 1 |
| 1.668 | 55.1 | 16 | 1 1 2 |
| 1.405 | 66.6 | 16 | 3 0 0 |
| 1.294 | 73.1 | 19 | 1 1 3 |
| 1.198 | 80.1 | 19 | 3 0 2 |
| 1.176 | 81.9 | 14 | 2 2 1 |

Crystal structure
Cell: 4.8661 4.8661 4.5830 Å, 90.00 90.00 120.00°
Space group P-62m (No. 189)
Inequivalent atoms, fractional coordinates:
Mg 0.0000 0.0000 0.0000
Pd 0.0000 0.6646 0.5000
Pd 0.3333 0.6667 0.0000

---

Calculated powder diffractogram
Compound: Ge3Rh2Se3
Radiation: Cu Kα
Structure: a crystal structure in the Materials Project, relaxed with PBE

Largest 10 diffraction maxima, by angle, 2θ = 10–90°:
| d (Å) | Position (°2θ) | Rel. int. | (hkl) |
| --- | --- | --- | --- |
| 6.138 | 14.4 | 12 | 0 1 2 |
| 4.340 | 20.5 | 33 | 2 0 2 |
| 3.544 | 25.1 | 13 | 3 0 0 |
| 3.069 | 29.1 | 18 | 2 2 0 |
| 2.745 | 32.6 | 100 | 4 -1 2 |
| 2.321 | 38.8 | 21 | 1 3 4 |
| 1.941 | 46.8 | 69 | 4 2 2 |
| 1.771 | 51.6 | 30 | 6 0 0 |
| 1.704 | 53.8 | 17 | 5 -4 6 |
| 1.701 | 53.9 | 17 | 5 2 0 |

Crystal structure
Cell: 12.2646 12.2646 15.0646 Å, 90.00 90.00 120.00°
Space group R-3 (No. 148, hexagonal axes)
Inequivalent atoms, fractional coordinates:
Ge 0.0100 0.8370 0.3391
Ge 0.0594 0.4546 0.6066
Rh 0.0000 0.0000 0.2519
Rh 0.0009 0.5023 0.7497
Se 0.0238 0.8368 0.8337
Se 0.0511 0.4542 0.0964

---

Calculated powder diffractogram
Compound: LiCaTa2O6F
Radiation: Cu Kα
Structure: a crystal structure in the Materials Project, relaxed with PBE

Largest 10 diffraction maxima, by angle, 2θ = 10–90°:
| d (Å) | Position (°2θ) | Rel. int. | (hkl) |
| --- | --- | --- | --- |
| 6.069 | 14.6 | 100 | 0 1 1 |
| 6.012 | 14.7 | 60 | 1 0 1 |
| 3.169 | 28.2 | 29 | 1 2 1 |
| 3.147 | 28.4 | 83 | 2 1 1 |
| 3.034 | 29.4 | 92 | 0 2 2 |
| 3.006 | 29.7 | 89 | 2 0 2 |
| 2.618 | 34.3 | 36 | 2 2 0 |
| 1.849 | 49.3 | 57 | 2 2 4 |
| 1.584 | 58.2 | 27 | 2 4 2 |
| 1.573 | 58.7 | 40 | 2 0 6 |

Crystal structure
Cell: 7.3531 7.4576 10.4420 Å, 90.00 90.00 90.00°
Space group Imma (No. 74)
Inequivalent atoms, fractional coordinates:
Li 0.2500 0.2500 0.2500
Ca 0.0000 0.0000 0.0000
Ta 0.0000 0.0000 0.5000
Ta 0.2500 0.2500 0.7500
O 0.0000 0.2500 0.4351
O 0.0000 0.2500 0.8238
O 0.1975 0.0584 0.6236
F 0.0000 0.2500 0.1304